# 1
Computed powder diffractogram of CsV2SiO8 for Cu Ka, from a crystal structure in Alexandria, relaxed with GGA+U.
Neutral-atom scattering factors, no anomalous dispersion.

Atomic structure:
```
data_CsV2SiO8
_symmetry_space_group_name_H-M 'P -3'
_symmetry_Int_Tables_number 147
_cell_length_a 5.3868
_cell_length_b 5.3868
_cell_length_c 8.4596
_cell_angle_alpha 90.00
_cell_angle_beta 90.00
_cell_angle_gamma 120.00
loop_
_symmetry_equiv_pos_as_xyz
'x,y,z'
'-x,-y,-z'
'-y,x-y,z'
'y,-x+y,-z'
'-x+y,-x,z'
'x-y,x,-z'
loop_
_atom_site_label
_atom_site_type_symbol
_atom_site_fract_x
_atom_site_fract_y
_atom_site_fract_z
_atom_site_occupancy
Cs1 Cs 0.0000 0.0000 0.0000 1
V1 V 0.3333 0.6667 0.6875 1
Si1 Si 0.0000 0.0000 0.5000 1
O1 O 0.1523 0.3081 0.6223 1
O2 O 0.3333 0.6667 0.8844 1
```

Most intense lines, 15° ≤ 2θ ≤ 90°, most intense first:
two_theta	I/Imax	(hkl)
21.8	100.0	1 0 1
28.5	94.3	0 1 2
33.3	52.1	1 1 0
19.0	43.6	1 0 0
56.5	26.4	3 -2 2
44.3	25.5	0 2 2


# 2
Computed powder diffractogram of CsSi2WO8 for Cu Ka, from a crystal structure in Alexandria, relaxed with GGA+U.
Neutral-atom scattering factors, no anomalous dispersion.

Atomic structure:
```
data_CsSi2WO8
_symmetry_space_group_name_H-M 'C 1 2/m 1'
_symmetry_Int_Tables_number 12
_cell_length_a 9.095
_cell_length_b 5.378
_cell_length_c 8.951
_cell_angle_alpha 90.00
_cell_angle_beta 91.81
_cell_angle_gamma 90.00
loop_
_symmetry_equiv_pos_as_xyz
'x,y,z'
'-x,-y,-z'
'-x,y,-z'
'x,-y,z'
'x+1/2,y+1/2,z'
'-x+1/2,-y+1/2,-z'
'-x+1/2,y+1/2,-z'
'x+1/2,-y+1/2,z'
loop_
_atom_site_label
_atom_site_type_symbol
_atom_site_fract_x
_atom_site_fract_y
_atom_site_fract_z
_atom_site_occupancy
Cs1 Cs 0.000 0.000 0.000 1
Si1 Si 0.152 0.500 0.309 1
W1 W 0.000 0.000 0.500 1
O1 O 0.058 0.254 0.360 1
O2 O 0.176 0.500 0.132 1
O3 O 0.193 0.000 0.591 1
```

Most intense lines, 15° ≤ 2θ ≤ 90°, most intense first:
two_theta	I/Imax	(hkl)
27.5	100.0	1 1 -2
19.2	98.2	1 1 0
19.5	56.6	2 0 0
28.0	52.2	1 1 2
34.0	44.3	3 1 0
19.8	43.3	0 0 2